Computed powder XRD pattern of RbLiSO4 for Cu Kα (λ = 1.5418 Å), from a DFT-relaxed cell (PBE, the Materials Project).
Intensities are scaled so that the largest is 100.

Atomic structure:
```
data_RbLiSO4
_chemical_formula_sum 'Rb8 Li8 S8 O32'
_symmetry_space_group_name_H-M 'P 1 21/c 1'
_symmetry_Int_Tables_number 14
_cell_length_a 9.356
_cell_length_b 5.388
_cell_length_c 17.803
_cell_angle_alpha 90.00
_cell_angle_beta 90.13
_cell_angle_gamma 90.00
loop_
_symmetry_equiv_pos_as_xyz
'x,y,z'
'-x,-y,-z'
'-x,y+1/2,-z+1/2'
'x,-y+1/2,z+1/2'
loop_
_atom_site_label
_atom_site_fract_x
_atom_site_fract_y
_atom_site_fract_z
_atom_site_occupancy
Rb1 0.215 0.247 0.249 1
Rb2 0.283 0.240 0.499 1
Li1 0.084 0.743 0.589 1
Li2 0.416 0.745 0.838 1
S1 0.082 0.744 0.897 1
S2 0.416 0.745 0.647 1
O1 0.031 0.066 0.628 1
O2 0.047 0.504 0.367 1
O3 0.089 0.747 0.481 1
O4 0.223 0.659 0.868 1
O5 0.280 0.658 0.613 1
O6 0.403 0.747 0.730 1
O7 0.450 0.001 0.620 1
O8 0.466 0.073 0.876 1
```

Main lines, in order of rising 2θ (15° ≤ 2θ ≤ 90°):
- d = 4.672 Å, 2θ 19.00, intensity 17.4
- d = 4.137 Å, 2θ 21.48, intensity 26.6
- d = 3.283 Å, 2θ 27.16, intensity 24.1
- d = 3.223 Å, 2θ 27.68, intensity 100.0
- d = 2.697 Å, 2θ 33.22, intensity 35.9
- d = 2.335 Å, 2θ 38.55, intensity 10.4
- d = 2.305 Å, 2θ 39.08, intensity 15.1
- d = 2.225 Å, 2θ 40.54, intensity 12.6
- d = 2.009 Å, 2θ 45.13, intensity 8.8
- d = 1.716 Å, 2θ 53.41, intensity 6.4
- d = 1.640 Å, 2θ 56.08, intensity 8.9
- d = 1.514 Å, 2θ 61.20, intensity 6.0